For Cd3Hg, a crystal structure in Alexandria, relaxed with GGA-PBE gives the theoretical X-ray powder pattern in this record (copper Kα).
Kinematic intensities with the Lorentz-polarization factor, no thermal factor.

Crystal structure
```
16
Lattice="4.481 0.000 0.000 0.000 4.481 0.000 0.000 0.000 18.436" Properties=species:S:1:pos:R:3 pbc="T T T"
Cd 0.000 0.000 2.323
Cd 0.000 0.000 16.113
Cd 0.000 2.241 0.000
Cd 0.000 2.241 4.609
Cd 0.000 2.241 9.218
Cd 0.000 2.241 13.827
Cd 2.241 0.000 0.000
Cd 2.241 0.000 4.609
Cd 2.241 0.000 9.218
Cd 2.241 0.000 13.827
Cd 2.241 2.241 6.895
Cd 2.241 2.241 11.541
Hg 0.000 0.000 6.933
Hg 0.000 0.000 11.503
Hg 2.241 2.241 2.285
Hg 2.241 2.241 16.151
```

Peak list (10 most intense, 10° ≤ 2θ ≤ 80°, in order of rising 2θ)
19.26 deg, intensity 2; 20.39 deg, intensity 4; 34.34 deg, intensity 100; 39.09 deg, intensity 17; 40.25 deg, intensity 32; 57.35 deg, intensity 22; 58.23 deg, intensity 11; 67.79 deg, intensity 13; 69.38 deg, intensity 25; 72.38 deg, intensity 11


For Cd3Hg7, a crystal structure in Alexandria, relaxed with GGA-PBE gives the theoretical X-ray powder pattern in this record (copper Kα).
Kinematic intensities with the Lorentz-polarization factor, no thermal factor.

Crystal structure
```
20
Lattice="-5.185 5.185 5.185 5.185 -5.185 5.185 5.185 5.185 -5.185" Properties=species:S:1:pos:R:3 pbc="T T T"
Cd 3.547 0.000 0.000
Cd 6.823 0.000 0.000
Cd 0.000 3.547 0.000
Cd 0.000 0.000 3.547
Cd 0.000 6.823 0.000
Cd 0.000 0.000 6.823
Hg 1.732 1.732 -1.732
Hg 3.453 3.453 -3.453
Hg 1.732 -1.732 1.732
Hg 3.453 -3.453 3.453
Hg 5.185 2.593 0.000
Hg 5.185 0.000 2.593
Hg -1.732 1.732 1.732
Hg 1.732 1.732 1.732
Hg 2.593 5.185 0.000
Hg 2.593 0.000 5.185
Hg -3.453 3.453 3.453
Hg 3.453 3.453 3.453
Hg 0.000 5.185 2.593
Hg 0.000 2.593 5.185
```

Peak list (10 most intense, 10° ≤ 2θ ≤ 80°, in order of rising 2θ)
27.19 deg, intensity 58; 29.84 deg, intensity 59; 32.30 deg, intensity 67; 36.77 deg, intensity 100; 38.83 deg, intensity 19; 42.71 deg, intensity 21; 51.37 deg, intensity 21; 52.98 deg, intensity 23; 54.55 deg, intensity 25; 66.22 deg, intensity 47


For Cd6Hg, a crystal structure in Alexandria, relaxed with GGA-PBE gives the theoretical X-ray powder pattern in this record (copper Kα).
Kinematic intensities with the Lorentz-polarization factor, no thermal factor.

Crystal structure
```
7
Lattice="6.437 3.716 1.166 -6.437 3.716 1.166 0.000 -7.433 1.166" Properties=species:S:1:pos:R:3 pbc="T T T"
Cd -3.679 -3.231 1.613
Cd -4.638 1.570 1.885
Cd 0.959 -4.801 1.885
Cd -0.959 4.801 1.613
Cd 4.638 -1.570 1.613
Cd 3.679 3.231 1.885
Hg 0.000 0.000 1.749
```

Peak list (10 most intense, 10° ≤ 2θ ≤ 80°, in order of rising 2θ)
13.76 deg, intensity 7; 26.71 deg, intensity 6; 33.29 deg, intensity 100; 36.95 deg, intensity 80; 50.57 deg, intensity 31; 57.02 deg, intensity 19; 64.26 deg, intensity 29; 66.57 deg, intensity 13; 69.90 deg, intensity 10; 78.65 deg, intensity 8